1.
Calculated powder diffraction line list
Compound: TmMnB4
Radiation: Cu Kα, 1.54184 Å
Structure: a structure optimized by DFT (PBE)
Kinematic intensities with the Lorentz-polarization factor, no thermal factor.

Cell and atoms:
```
TmMnB4
1.0
5.876 0.000 0.000
0.000 11.356 0.000
0.000 0.000 3.371
Tm Mn B
4 4 16
direct
0.126 0.150 0.000 Tm
0.374 0.650 0.000 Tm
0.626 0.350 0.000 Tm
0.874 0.850 0.000 Tm
0.129 0.416 0.000 Mn
0.371 0.916 0.000 Mn
0.629 0.084 0.000 Mn
0.871 0.584 0.000 Mn
0.025 0.692 0.500 B
0.113 0.547 0.500 B
0.137 0.968 0.500 B
0.218 0.815 0.500 B
0.282 0.315 0.500 B
0.363 0.468 0.500 B
0.387 0.047 0.500 B
0.475 0.192 0.500 B
0.525 0.808 0.500 B
0.613 0.953 0.500 B
0.637 0.532 0.500 B
0.718 0.685 0.500 B
0.782 0.185 0.500 B
0.863 0.032 0.500 B
0.887 0.453 0.500 B
0.975 0.308 0.500 B
```

Largest 10 diffraction maxima, sorted by position, 2θ = 10–80°:
4.083 Å, I = 30; 3.371 Å, I = 66; 3.182 Å, I = 35; 2.843 Å, I = 86; 2.600 Å, I = 25; 2.314 Å, I = 37; 2.173 Å, I = 100; 2.037 Å, I = 23; 1.912 Å, I = 19; 1.450 Å, I = 22

=====

2.
Calculated powder diffraction line list
Compound: UMnB4
Radiation: Cu Kα, 1.54184 Å
Structure: a structure optimized by DFT (PBE)
Kinematic intensities with the Lorentz-polarization factor, no thermal factor.

Cell and atoms:
```
UMnB4
1.0
5.849 0.000 0.000
0.000 11.356 0.000
0.000 0.000 3.433
U Mn B
4 4 16
direct
0.126 0.150 0.000 U
0.374 0.650 0.000 U
0.626 0.350 0.000 U
0.874 0.850 0.000 U
0.135 0.409 0.000 Mn
0.365 0.909 0.000 Mn
0.635 0.091 0.000 Mn
0.865 0.591 0.000 Mn
0.027 0.691 0.500 B
0.114 0.546 0.500 B
0.136 0.966 0.500 B
0.217 0.813 0.500 B
0.283 0.313 0.500 B
0.364 0.466 0.500 B
0.386 0.046 0.500 B
0.473 0.191 0.500 B
0.527 0.809 0.500 B
0.614 0.954 0.500 B
0.636 0.534 0.500 B
0.717 0.687 0.500 B
0.783 0.187 0.500 B
0.864 0.034 0.500 B
0.886 0.454 0.500 B
0.973 0.309 0.500 B
```

Largest 10 diffraction maxima, sorted by position, 2θ = 10–80°:
4.074 Å, I = 39; 3.433 Å, I = 68; 3.178 Å, I = 36; 2.835 Å, I = 87; 2.625 Å, I = 32; 2.332 Å, I = 37; 2.186 Å, I = 100; 2.049 Å, I = 20; 1.590 Å, I = 21; 1.468 Å, I = 25

=====

3.
Calculated powder diffraction line list
Compound: YMnB4
Radiation: Cu Kα, 1.54184 Å
Structure: a structure optimized by DFT (PBE)
Kinematic intensities with the Lorentz-polarization factor, no thermal factor.

Cell and atoms:
```
YMnB4
1.0
5.921 0.000 0.000
0.000 11.449 0.000
0.000 0.000 3.414
Y Mn B
4 4 16
direct
0.126 0.151 0.000 Y
0.374 0.651 0.000 Y
0.626 0.349 0.000 Y
0.874 0.849 0.000 Y
0.128 0.416 0.000 Mn
0.372 0.916 0.000 Mn
0.628 0.084 0.000 Mn
0.872 0.584 0.000 Mn
0.024 0.691 0.500 B
0.112 0.546 0.500 B
0.138 0.968 0.500 B
0.219 0.816 0.500 B
0.281 0.316 0.500 B
0.362 0.468 0.500 B
0.388 0.046 0.500 B
0.476 0.191 0.500 B
0.524 0.809 0.500 B
0.612 0.954 0.500 B
0.638 0.532 0.500 B
0.719 0.684 0.500 B
0.781 0.184 0.500 B
0.862 0.032 0.500 B
0.888 0.454 0.500 B
0.976 0.309 0.500 B
```

Largest 10 diffraction maxima, sorted by position, 2θ = 10–80°:
3.414 Å, I = 59; 3.208 Å, I = 24; 2.865 Å, I = 77; 2.577 Å, I = 20; 2.338 Å, I = 48; 2.195 Å, I = 100; 2.057 Å, I = 29; 1.930 Å, I = 30; 1.707 Å, I = 19; 1.467 Å, I = 25

=====

4.
Calculated powder diffraction line list
Compound: B24Mo7
Radiation: Cu Kα, 1.54184 Å
Structure: a structure optimized by DFT (PBE)
Kinematic intensities with the Lorentz-polarization factor, no thermal factor.

Cell and atoms:
```
B24Mo7
1.0
5.235 0.000 0.000
-2.617 4.534 0.000
0.000 0.000 12.260
B Mo
24 7
direct
0.001 0.334 0.118 B
0.001 0.334 0.882 B
0.001 0.667 0.118 B
0.001 0.667 0.882 B
0.002 0.334 0.372 B
0.002 0.334 0.628 B
0.002 0.668 0.372 B
0.002 0.668 0.628 B
0.332 0.334 0.372 B
0.332 0.334 0.628 B
0.332 0.998 0.372 B
0.332 0.998 0.628 B
0.333 0.334 0.118 B
0.333 0.334 0.882 B
0.333 0.999 0.118 B
0.333 0.999 0.882 B
0.666 0.667 0.118 B
0.666 0.667 0.882 B
0.666 0.668 0.372 B
0.666 0.668 0.628 B
0.666 0.998 0.372 B
0.666 0.998 0.628 B
0.666 0.999 0.118 B
0.666 0.999 0.882 B
0.000 0.000 0.244 Mo
0.000 0.000 0.756 Mo
0.333 0.667 0.000 Mo
0.333 0.667 0.500 Mo
0.667 0.333 0.247 Mo
0.667 0.333 0.500 Mo
0.667 0.333 0.753 Mo
```

Largest 10 diffraction maxima, sorted by position, 2θ = 10–80°:
3.645 Å, I = 100; 3.065 Å, I = 19; 2.617 Å, I = 57; 2.126 Å, I = 22; 1.990 Å, I = 85; 1.863 Å, I = 14; 1.650 Å, I = 19; 1.511 Å, I = 21; 1.323 Å, I = 13; 1.204 Å, I = 16